Theoretical XRD peak list
Compound: Ba4SiSb2Se11
Radiation: Cu Kα (λ = 1.5418 Å)
Structure: a DFT-relaxed cell (GGA-PBE, Alexandria)

Cell and atoms:
Cell: 13.8317 13.8317 8.9812 Å, 90.00 90.00 139.67°
Positions (direct):
Ba 0.0423 0.4632 0.2422
Ba 0.2074 0.2859 0.0000
Ba 0.2859 0.2074 0.5000
Ba 0.4632 0.0423 0.7422
Ba 0.5368 0.9577 0.2422
Ba 0.7141 0.7926 0.0000
Ba 0.7926 0.7141 0.5000
Ba 0.9577 0.5368 0.7422
Si 0.4202 0.5798 0.3302
Si 0.5798 0.4202 0.8302
Sb 0.1475 0.8525 0.1729
Sb 0.3551 0.6449 0.6674
Sb 0.6449 0.3551 0.1674
Sb 0.8525 0.1475 0.6729
Se 0.0287 0.9713 0.2171
Se 0.0548 0.9452 0.8456
Se 0.0561 0.3821 0.8431
Se 0.1165 0.8835 0.6451
Se 0.2095 0.4090 0.4768
Se 0.2324 0.7676 0.0161
Se 0.2672 0.7328 0.5314
Se 0.3747 0.6253 0.1135
Se 0.3821 0.0561 0.3431
Se 0.4090 0.2095 0.9768
Se 0.4950 0.5050 0.7575
Se 0.5050 0.4950 0.2575
Se 0.5910 0.7905 0.4768
Se 0.6179 0.9439 0.8431
Se 0.6253 0.3747 0.6135
Se 0.7328 0.2672 0.0314
Se 0.7676 0.2324 0.5161
Se 0.7905 0.5910 0.9768
Se 0.8835 0.1165 0.1451
Se 0.9439 0.6179 0.3431
Se 0.9452 0.0548 0.3456
Se 0.9713 0.0287 0.7171

The 6 most intense peaks (10 to 90 degrees two-theta), sorted by position:
2θ = 27.28°, I 22.1
2θ = 28.15°, I 100.0
2θ = 29.25°, I 42.1
2θ = 29.60°, I 41.6
2θ = 30.62°, I 21.8
2θ = 37.74°, I 35.6


Theoretical XRD peak list
Compound: Ba3SiSb3
Radiation: Cu Kα (λ = 1.5418 Å)
Structure: a DFT-relaxed cell (GGA-PBE, Alexandria)

Cell and atoms:
Cell: 11.2533 11.2533 14.1925 Å, 90.00 90.00 37.51°
Positions (direct):
Ba 0.0148 0.6403 0.1292
Ba 0.1403 0.5148 0.6292
Ba 0.1917 0.8083 0.8580
Ba 0.3083 0.6917 0.3580
Ba 0.3597 0.9852 0.1292
Ba 0.4852 0.8597 0.6292
Ba 0.5148 0.1403 0.3708
Ba 0.6403 0.0148 0.8708
Ba 0.6917 0.3083 0.6420
Ba 0.8083 0.1917 0.1420
Ba 0.8597 0.4852 0.3708
Ba 0.9852 0.3597 0.8708
Si 0.0850 0.0850 0.5000
Si 0.4150 0.4150 0.0000
Si 0.5850 0.5850 0.0000
Si 0.9150 0.9150 0.5000
Sb 0.0310 0.6493 0.3817
Sb 0.1493 0.5310 0.8817
Sb 0.2032 0.7968 0.6074
Sb 0.2968 0.7032 0.1074
Sb 0.3507 0.9690 0.3817
Sb 0.4690 0.8507 0.8817
Sb 0.5310 0.1493 0.1183
Sb 0.6493 0.0310 0.6183
Sb 0.7032 0.2968 0.8926
Sb 0.7968 0.2032 0.3926
Sb 0.8507 0.4690 0.1183
Sb 0.9690 0.3507 0.6183

The 6 most intense peaks (10 to 90 degrees two-theta), sorted by position:
2θ = 24.60°, I 29.4
2θ = 25.08°, I 100.0
2θ = 26.77°, I 18.3
2θ = 35.43°, I 61.3
2θ = 35.77°, I 43.2
2θ = 43.91°, I 25.9


Theoretical XRD peak list
Compound: BaSnSb
Radiation: Cu Kα (λ = 1.5418 Å)
Structure: a DFT-relaxed cell (GGA-PBE, Alexandria)

Cell and atoms:
Cell: 5.1666 9.0396 9.5929 Å, 90.00 90.00 90.00°
Positions (direct):
Ba 0.0000 0.0000 0.2448
Ba 0.0000 0.0000 0.7552
Ba 0.5000 0.5000 0.2552
Ba 0.5000 0.5000 0.7448
Sn 0.0000 0.3372 0.0000
Sn 0.0000 0.6628 0.0000
Sn 0.5000 0.1628 0.5000
Sn 0.5000 0.8372 0.5000
Sb 0.0000 0.3289 0.5000
Sb 0.0000 0.6711 0.5000
Sb 0.5000 0.1711 0.0000
Sb 0.5000 0.8289 0.0000

The 6 most intense peaks (10 to 90 degrees two-theta), sorted by position:
2θ = 27.11°, I 50.9
2θ = 27.22°, I 100.0
2θ = 34.46°, I 59.2
2θ = 34.73°, I 29.1
2θ = 44.60°, I 26.3
2θ = 51.84°, I 36.7


Theoretical XRD peak list
Compound: BaSn4Sb2
Radiation: Cu Kα (λ = 1.5418 Å)
Structure: a DFT-relaxed cell (GGA-PBE, Alexandria)

Cell and atoms:
Cell: 9.6406 9.6406 4.9262 Å, 90.00 90.00 90.00°
Positions (direct):
Ba 0.0000 0.0000 0.0000
Ba 0.5000 0.5000 0.5000
Sn 0.0878 0.3541 0.5000
Sn 0.1459 0.5878 0.0000
Sn 0.3541 0.0878 0.5000
Sn 0.4122 0.8541 0.0000
Sn 0.5878 0.1459 0.0000
Sn 0.6459 0.9122 0.5000
Sn 0.8541 0.4122 0.0000
Sn 0.9122 0.6459 0.5000
Sb 0.2106 0.7894 0.5000
Sb 0.2894 0.2894 0.0000
Sb 0.7106 0.7106 0.0000
Sb 0.7894 0.2106 0.5000

The 6 most intense peaks (10 to 90 degrees two-theta), sorted by position:
2θ = 27.49°, I 98.4
2θ = 29.30°, I 39.3
2θ = 31.93°, I 81.0
2θ = 34.60°, I 100.0
2θ = 36.48°, I 46.8
2θ = 38.50°, I 37.7


Theoretical XRD peak list
Compound: Ba5SnSb2
Radiation: Cu Kα (λ = 1.5418 Å)
Structure: a DFT-relaxed cell (GGA-PBE, Alexandria)

Cell and atoms:
Cell: 12.6905 7.6274 9.1300 Å, 90.00 133.32 90.00°
Positions (direct):
Ba 0.0000 0.0000 0.0000
Ba 0.1666 0.2502 0.8266
Ba 0.1666 0.7498 0.8266
Ba 0.2248 0.2686 0.4313
Ba 0.2248 0.7314 0.4313
Ba 0.5000 0.5000 0.0000
Ba 0.6666 0.2498 0.8266
Ba 0.6666 0.7502 0.8266
Ba 0.7248 0.2314 0.4313
Ba 0.7248 0.7686 0.4313
Sn 0.3981 0.0000 0.3187
Sn 0.8981 0.5000 0.3187
Sb 0.4365 0.5000 0.3223
Sb 0.4544 0.0000 0.9052
Sb 0.9365 0.0000 0.3223
Sb 0.9544 0.5000 0.9052

The 6 most intense peaks (10 to 90 degrees two-theta), sorted by position:
2θ = 26.84°, I 33.8
2θ = 28.13°, I 57.4
2θ = 30.22°, I 20.9
2θ = 30.40°, I 82.0
2θ = 30.55°, I 100.0
2θ = 56.33°, I 26.1


Theoretical XRD peak list
Compound: Ba2SnSb
Radiation: Cu Kα (λ = 1.5418 Å)
Structure: a DFT-relaxed cell (GGA-PBE, Alexandria)

Cell and atoms:
Cell: 6.9449 4.6538 10.2535 Å, 90.00 106.13 90.00°
Positions (direct):
Ba 0.2017 0.2500 0.4294
Ba 0.2926 0.7500 0.0671
Ba 0.7074 0.2500 0.9329
Ba 0.7983 0.7500 0.5706
Sn 0.3695 0.7500 0.7094
Sn 0.6305 0.2500 0.2906
Sb 0.1362 0.2500 0.7901
Sb 0.8638 0.7500 0.2099

The 6 most intense peaks (10 to 90 degrees two-theta), sorted by position:
2θ = 26.35°, I 100.0
2θ = 26.72°, I 29.3
2θ = 27.83°, I 26.6
2θ = 33.04°, I 82.5
2θ = 33.60°, I 34.4
2θ = 33.95°, I 23.5


Theoretical XRD peak list
Compound: Ba4SnSb4
Radiation: Cu Kα (λ = 1.5418 Å)
Structure: a DFT-relaxed cell (GGA-PBE, Alexandria)

Cell and atoms:
Cell: 10.1459 10.1459 7.4158 Å, 90.00 90.00 90.00°
Positions (direct):
Ba 0.0148 0.2500 0.0595
Ba 0.2500 0.0148 0.5595
Ba 0.2500 0.4852 0.5595
Ba 0.4852 0.2500 0.0595
Ba 0.5148 0.7500 0.9405
Ba 0.7500 0.5148 0.4405
Ba 0.7500 0.9852 0.4405
Ba 0.9852 0.7500 0.9405
Sn 0.2500 0.7500 0.2500
Sn 0.7500 0.2500 0.7500
Sb 0.0136 0.7500 0.4634
Sb 0.2500 0.5136 0.0366
Sb 0.2500 0.9864 0.0366
Sb 0.4864 0.7500 0.4634
Sb 0.5136 0.2500 0.5366
Sb 0.7500 0.0136 0.9634
Sb 0.7500 0.4864 0.9634
Sb 0.9864 0.2500 0.5366

The 6 most intense peaks (10 to 90 degrees two-theta), sorted by position:
2θ = 24.00°, I 34.8
2θ = 24.82°, I 100.0
2θ = 34.80°, I 93.7
2θ = 35.39°, I 62.8
2θ = 43.21°, I 26.5
2θ = 63.15°, I 29.4


Theoretical XRD peak list
Compound: BaSrSnSb2
Radiation: Cu Kα (λ = 1.5418 Å)
Structure: a DFT-relaxed cell (GGA-PBE, Alexandria)

Cell and atoms:
Cell: 8.5696 8.5696 6.5328 Å, 90.00 90.00 130.29°
Positions (direct):
Ba 0.2500 0.7500 0.7744
Ba 0.7500 0.2500 0.2256
Sr 0.2500 0.2500 0.5000
Sr 0.7500 0.7500 0.5000
Sn 0.0000 0.0000 0.0000
Sn 0.5000 0.5000 0.0000
Sb 0.1565 0.8435 0.2746
Sb 0.3435 0.6565 0.2746
Sb 0.6565 0.3435 0.7254
Sb 0.8435 0.1565 0.7254

The 6 most intense peaks (10 to 90 degrees two-theta), sorted by position:
2θ = 24.72°, I 72.4
2θ = 25.17°, I 51.9
2θ = 29.66°, I 99.5
2θ = 30.59°, I 52.9
2θ = 34.27°, I 100.0
2θ = 36.69°, I 41.2